Theoretical X-ray diffraction stick pattern of Cd4InRu for a wavelength of 1.5418 Å, from DFT lattice parameters and positions (PBE).
Peak positions follow from Bragg's law for the DFT cell and can differ from measured ones.

Atomic structure:
```
data_Cd4InRu
_chemical_formula_sum 'Cd4 In1 Ru1'
_space_group_name_H-M_alt 'P 1'
_space_group_IT_number 1
_cell_length_a 5.6074
_cell_length_b 5.6074
_cell_length_c 5.6074
_cell_angle_alpha 60.00
_cell_angle_beta 60.00
_cell_angle_gamma 60.00
loop_
_space_group_symop_operation_xyz
'x,y,z'
loop_
_atom_site_label
_atom_site_fract_x
_atom_site_fract_y
_atom_site_fract_z
Cd1 0.3757 0.3757 0.3757
Cd2 0.3757 0.3757 0.8730
Cd3 0.3757 0.8730 0.3757
Cd4 0.8730 0.3757 0.3757
In1 0.0000 0.0000 0.0000
Ru1 0.7500 0.7500 0.7500
```

Top 9 peaks for 2θ = 5–70°, most intense first:
- 2θ = 37.6°, intensity 100
- 2θ = 39.4°, intensity 42
- 2θ = 60.7°, intensity 31
- 2θ = 66.7°, intensity 27
- 2θ = 31.9°, intensity 26
- 2θ = 56.9°, intensity 10
- 2θ = 19.4°, intensity 7
- 2θ = 45.8°, intensity 5
- 2θ = 50.1°, intensity 2